This entry pairs a crystal structure of K6Na4Sr with its computed PXRD pattern. Radiation: copper Kα. Structure: a structure optimized by DFT (PBE).

Atomic structure:
```
data_K6Na4Sr
_chemical_formula_sum 'K12 Na8 Sr2'
_symmetry_space_group_name_H-M 'I 4/m m m'
_symmetry_Int_Tables_number 139
_symmetry_space_group_name_Hall '-I 4 2'
_cell_length_a 6.107
_cell_length_b 6.107
_cell_length_c 36.326
_cell_angle_alpha 90.00
_cell_angle_beta 90.00
_cell_angle_gamma 90.00
loop_
_atom_site_label
_atom_site_fract_x
_atom_site_fract_y
_atom_site_fract_z
K1 0.000 0.500 0.109
K2 0.000 0.500 0.250
Na1 0.000 0.000 0.042
Na2 0.000 0.000 0.321
Sr1 0.000 0.000 0.500
```

The 8 most intense peaks (2θ = 15–90°), in order of rising 2θ:
18.98°, d 4.675, I 29
19.55°, d 4.541, I 24
21.15°, d 4.201, I 38
22.80°, d 3.900, I 41
25.33°, d 3.516, I 100
28.52°, d 3.129, I 26
29.25°, d 3.054, I 69
49.54°, d 1.840, I 28

---

This entry pairs a crystal structure of TiTlCu2Cl8 with its computed PXRD pattern. Radiation: copper Kα. Structure: a structure optimized by DFT (PBE).

Atomic structure:
```
data_TiTlCu2Cl8
_chemical_formula_sum 'Ti1 Tl1 Cu2 Cl8'
_symmetry_space_group_name_H-M 'P -1'
_symmetry_Int_Tables_number 2
_cell_length_a 6.157
_cell_length_b 6.901
_cell_length_c 8.501
_cell_angle_alpha 70.16
_cell_angle_beta 82.09
_cell_angle_gamma 84.28
loop_
_symmetry_equiv_pos_as_xyz
'x,y,z'
'-x,-y,-z'
loop_
_atom_site_label
_atom_site_fract_x
_atom_site_fract_y
_atom_site_fract_z
Ti1 0.000 0.000 0.000
Tl1 0.000 0.500 0.500
Cu1 0.486 0.020 0.317
Cl1 0.117 0.985 0.263
Cl2 0.150 0.315 0.869
Cl3 0.339 0.821 0.938
Cl4 0.491 0.260 0.453
```

The 8 most intense peaks (2θ = 15–90°), in order of rising 2θ:
19.10°, d 4.646, I 61
19.43°, d 4.569, I 43
20.58°, d 4.317, I 38
22.01°, d 4.039, I 100
25.37°, d 3.511, I 58
29.33°, d 3.045, I 41
34.67°, d 2.587, I 36
40.86°, d 2.209, I 36

---

This entry pairs a crystal structure of PmCo3Ge2 with its computed PXRD pattern. Radiation: copper Kα. Structure: a structure optimized by DFT (PBE).

Atomic structure:
```
data_PmCo3Ge2
_chemical_formula_sum 'Pm1 Co3 Ge2'
_symmetry_space_group_name_H-M 'P 6 m m'
_symmetry_Int_Tables_number 183
_symmetry_space_group_name_Hall 'P 6 -2'
_cell_length_a 5.3495
_cell_length_b 5.3495
_cell_length_c 3.6461
_cell_angle_alpha 90.00
_cell_angle_beta 90.00
_cell_angle_gamma 120.00
loop_
_atom_site_label
_atom_site_fract_x
_atom_site_fract_y
_atom_site_fract_z
Pm1 0.0000 0.0000 0.0000
Co1 0.0000 0.5000 0.4980
Ge1 0.3333 0.6667 0.9979
```

The 8 most intense peaks (2θ = 15–90°), in order of rising 2θ:
31.22°, d 2.865, I 31
33.50°, d 2.675, I 40
38.88°, d 2.316, I 32
41.89°, d 2.157, I 100
50.03°, d 1.823, I 18
61.56°, d 1.506, I 14
65.66°, d 1.422, I 26
70.40°, d 1.337, I 18

---

This entry pairs a crystal structure of Ac7As5Pb with its computed PXRD pattern. Radiation: copper Kα. Structure: a structure optimized by DFT (PBE).

Atomic structure:
```
data_Ac7As5Pb
_chemical_formula_sum 'Ac28 As20 Pb4'
_symmetry_space_group_name_H-M 'C 1 2/m 1'
_symmetry_Int_Tables_number 12
_cell_length_a 14.956
_cell_length_b 4.569
_cell_length_c 27.075
_cell_angle_alpha 90.00
_cell_angle_beta 90.02
_cell_angle_gamma 90.00
loop_
_symmetry_equiv_pos_as_xyz
'x,y,z'
'-x,-y,-z'
'-x,y,-z'
'x,-y,z'
'x+1/2,y+1/2,z'
'-x+1/2,-y+1/2,-z'
'-x+1/2,y+1/2,-z'
'x+1/2,-y+1/2,z'
loop_
_atom_site_label
_atom_site_fract_x
_atom_site_fract_y
_atom_site_fract_z
Ac1 0.033 0.000 0.250
Ac2 0.089 0.500 0.395
Ac3 0.090 0.500 0.105
Ac4 0.137 0.000 0.535
Ac5 0.137 0.000 0.965
Ac6 0.179 0.500 0.674
Ac7 0.179 0.500 0.826
As1 0.000 0.500 0.000
As2 0.000 0.500 0.500
As3 0.045 0.000 0.643
As4 0.045 0.000 0.857
As5 0.227 0.000 0.073
As6 0.227 0.000 0.427
Pb1 0.202 0.500 0.250
```

The 8 most intense peaks (2θ = 15–90°), in order of rising 2θ:
24.25°, d 3.671, I 31
25.93°, d 3.436, I 94
27.28°, d 3.269, I 100
28.28°, d 3.156, I 77
39.45°, d 2.284, I 39
39.68°, d 2.272, I 33
47.81°, d 1.902, I 38
64.33°, d 1.448, I 29

---

This entry pairs a crystal structure of Ca3AgSn4 with its computed PXRD pattern. Radiation: copper Kα. Structure: a structure optimized by DFT (PBE).

Atomic structure:
```
data_Ca3AgSn4
_chemical_formula_sum 'Ca6 Ag2 Sn8'
_symmetry_space_group_name_H-M 'I m m m'
_symmetry_Int_Tables_number 71
_symmetry_space_group_name_Hall '-I 2 2'
_cell_length_a 3.583
_cell_length_b 6.614
_cell_length_c 19.062
_cell_angle_alpha 90.00
_cell_angle_beta 90.00
_cell_angle_gamma 90.00
loop_
_atom_site_label
_atom_site_fract_x
_atom_site_fract_y
_atom_site_fract_z
Ca1 0.000 0.000 0.000
Ca2 0.000 0.500 0.229
Ag1 0.000 0.000 0.500
Sn1 0.000 0.264 0.380
```

The 8 most intense peaks (2θ = 15–90°), in order of rising 2θ:
25.29°, d 3.521, I 67
29.87°, d 2.991, I 29
32.97°, d 2.717, I 100
34.35°, d 2.611, I 25
37.76°, d 2.383, I 31
39.71°, d 2.270, I 41
44.20°, d 2.049, I 29
62.04°, d 1.496, I 43

---

This entry pairs a crystal structure of Pm4DyEr2Sc with its computed PXRD pattern. Radiation: copper Kα. Structure: a structure optimized by DFT (PBE).

Atomic structure:
```
data_Pm4DyEr2Sc
_chemical_formula_sum 'Pm4 Dy1 Er2 Sc1'
_symmetry_space_group_name_H-M 'P m m m'
_symmetry_Int_Tables_number 47
_cell_length_a 5.060
_cell_length_b 5.072
_cell_length_c 9.868
_cell_angle_alpha 90.00
_cell_angle_beta 90.00
_cell_angle_gamma 90.00
loop_
_symmetry_equiv_pos_as_xyz
'x,y,z'
'-x,-y,-z'
'-x,-y,z'
'x,y,-z'
'x,-y,-z'
'-x,y,z'
'-x,y,-z'
'x,-y,z'
loop_
_atom_site_label
_atom_site_fract_x
_atom_site_fract_y
_atom_site_fract_z
Pm1 0.000 0.000 0.245
Pm2 0.500 0.500 0.245
Dy1 0.000 0.500 0.500
Er1 0.000 0.500 0.000
Er2 0.500 0.000 0.500
Sc1 0.500 0.000 0.000
```

The 8 most intense peaks (2θ = 15–90°), in order of rising 2θ:
30.85°, d 2.899, I 100
35.44°, d 2.533, I 35
36.42°, d 2.467, I 16
50.99°, d 1.791, I 12
51.73°, d 1.767, I 23
60.73°, d 1.525, I 14
60.85°, d 1.522, I 14
62.10°, d 1.495, I 13

---

This entry pairs a crystal structure of GaRuPb2O6 with its computed PXRD pattern. Radiation: copper Kα. Structure: a structure optimized by DFT (PBE).

Atomic structure:
```
data_GaRuPb2O6
_chemical_formula_sum 'Ga2 Ru2 Pb4 O12'
_symmetry_space_group_name_H-M 'I 4 m m'
_symmetry_Int_Tables_number 107
_symmetry_space_group_name_Hall 'I 4 -2'
_cell_length_a 5.486
_cell_length_b 5.486
_cell_length_c 8.980
_cell_angle_alpha 90.00
_cell_angle_beta 90.00
_cell_angle_gamma 90.00
loop_
_atom_site_label
_atom_site_fract_x
_atom_site_fract_y
_atom_site_fract_z
Ga1 0.000 0.000 0.000
Ru1 0.000 0.000 0.455
Pb1 0.000 0.500 0.252
O1 0.000 0.000 0.208
O2 0.000 0.000 0.659
O3 0.244 0.244 0.929
```

The 8 most intense peaks (2θ = 15–90°), in order of rising 2θ:
19.77°, d 4.490, I 14
30.45°, d 2.935, I 100
32.65°, d 2.743, I 42
38.46°, d 2.341, I 17
46.81°, d 1.941, I 35
52.70°, d 1.737, I 24
56.90°, d 1.618, I 35
68.37°, d 1.372, I 15

---

This entry pairs a crystal structure of CdHg2 with its computed PXRD pattern. Radiation: copper Kα. Structure: a structure optimized by DFT (PBE).

Atomic structure:
```
data_CdHg2
_chemical_formula_sum 'Cd2 Hg4'
_symmetry_space_group_name_H-M 'I m m m'
_symmetry_Int_Tables_number 71
_symmetry_space_group_name_Hall '-I 2 2'
_cell_length_a 3.929
_cell_length_b 4.211
_cell_length_c 8.927
_cell_angle_alpha 90.00
_cell_angle_beta 90.00
_cell_angle_gamma 90.00
loop_
_atom_site_label
_atom_site_fract_x
_atom_site_fract_y
_atom_site_fract_z
Cd1 0.000 0.000 0.000
Hg1 0.000 0.000 0.333
```

The 8 most intense peaks (2θ = 15–90°), in order of rising 2θ:
31.13°, d 2.873, I 100
36.99°, d 2.430, I 63
37.93°, d 2.372, I 59
42.95°, d 2.106, I 21
46.21°, d 1.964, I 17
58.62°, d 1.575, I 33
60.61°, d 1.528, I 30
71.38°, d 1.321, I 28

---

This entry pairs a crystal structure of Rb2In4O7 with its computed PXRD pattern. Radiation: copper Kα. Structure: a structure optimized by DFT (PBE).

Atomic structure:
```
data_Rb2In4O7
_chemical_formula_sum 'Rb2 In4 O7'
_symmetry_space_group_name_H-M 'P -3 1 m'
_symmetry_Int_Tables_number 162
_symmetry_space_group_name_Hall '-P 3 2'
_cell_length_a 5.7314
_cell_length_b 5.7314
_cell_length_c 7.4548
_cell_angle_alpha 90.00
_cell_angle_beta 90.00
_cell_angle_gamma 120.00
loop_
_atom_site_label
_atom_site_fract_x
_atom_site_fract_y
_atom_site_fract_z
Rb1 0.3333 0.6667 0.0000
In1 0.0000 0.0000 0.2760
In2 0.3333 0.6667 0.5000
O1 0.0000 0.0000 0.0000
O2 0.0000 0.3581 0.6658
```

The 8 most intense peaks (2θ = 15–90°), in order of rising 2θ:
29.98°, d 2.981, I 98
31.21°, d 2.866, I 100
39.67°, d 2.272, I 15
43.83°, d 2.066, I 37
54.78°, d 1.676, I 36
55.54°, d 1.654, I 27
59.13°, d 1.562, I 33
73.31°, d 1.291, I 14

---

This entry pairs a crystal structure of AcSnHgPd3 with its computed PXRD pattern. Radiation: copper Kα. Structure: a structure optimized by DFT (PBE).

Atomic structure:
```
data_AcSnHgPd3
_chemical_formula_sum 'Ac4 Sn4 Hg4 Pd12'
_symmetry_space_group_name_H-M 'C m c m'
_symmetry_Int_Tables_number 63
_symmetry_space_group_name_Hall '-C 2c 2'
_cell_length_a 6.510
_cell_length_b 12.588
_cell_length_c 6.939
_cell_angle_alpha 90.00
_cell_angle_beta 90.00
_cell_angle_gamma 90.00
loop_
_atom_site_label
_atom_site_fract_x
_atom_site_fract_y
_atom_site_fract_z
Ac1 0.000 0.178 0.250
Sn1 0.000 0.130 0.750
Hg1 0.000 0.431 0.250
Pd1 0.000 0.340 0.750
Pd2 0.214 0.000 0.000
```

The 8 most intense peaks (2θ = 15–90°), in order of rising 2θ:
25.68°, d 3.470, I 36
27.40°, d 3.255, I 34
31.21°, d 2.866, I 54
36.32°, d 2.473, I 29
37.90°, d 2.374, I 100
38.63°, d 2.331, I 32
39.84°, d 2.263, I 27
42.01°, d 2.151, I 51

---

This entry pairs a crystal structure of BaB2H6 with its computed PXRD pattern. Radiation: copper Kα. Structure: a structure optimized by DFT (PBE).

Atomic structure:
```
data_BaB2H6
_chemical_formula_sum 'Ba3 B6 H18'
_symmetry_space_group_name_H-M 'R 3 m'
_symmetry_Int_Tables_number 160
_symmetry_space_group_name_Hall 'R 3 -2"'
_cell_length_a 4.8993
_cell_length_b 4.8993
_cell_length_c 15.1792
_cell_angle_alpha 90.00
_cell_angle_beta 90.00
_cell_angle_gamma 120.00
loop_
_atom_site_label
_atom_site_fract_x
_atom_site_fract_y
_atom_site_fract_z
Ba1 0.0000 0.0000 0.0000
B1 0.0000 0.0000 0.2695
B2 0.0000 0.0000 0.3888
H1 0.0649 0.5325 0.9040
H2 0.0657 0.5329 0.0884
```

The 8 most intense peaks (2θ = 15–90°), in order of rising 2θ:
17.53°, d 5.060, I 72
21.75°, d 4.086, I 100
24.03°, d 3.704, I 81
31.63°, d 2.829, I 47
36.39°, d 2.469, I 34
36.69°, d 2.450, I 38
40.93°, d 2.205, I 50
51.96°, d 1.760, I 20

---

This entry pairs a crystal structure of AcCu2Ir with its computed PXRD pattern. Radiation: copper Kα. Structure: a structure optimized by DFT (PBE).

Atomic structure:
```
data_AcCu2Ir
_chemical_formula_sum 'Ac3 Cu6 Ir3'
_symmetry_space_group_name_H-M 'R -3 m'
_symmetry_Int_Tables_number 166
_symmetry_space_group_name_Hall '-R 3 2"'
_cell_length_a 4.8309
_cell_length_b 4.8309
_cell_length_c 11.3663
_cell_angle_alpha 90.00
_cell_angle_beta 90.00
_cell_angle_gamma 120.00
loop_
_atom_site_label
_atom_site_fract_x
_atom_site_fract_y
_atom_site_fract_z
Ac1 0.0000 0.0000 0.0000
Cu1 0.0000 0.0000 0.2594
Ir1 0.0000 0.0000 0.5000
```

The 8 most intense peaks (2θ = 15–90°), in order of rising 2θ:
26.45°, d 3.369, I 58
37.22°, d 2.415, I 100
38.29°, d 2.351, I 91
46.25°, d 1.963, I 14
54.47°, d 1.685, I 33
67.12°, d 1.395, I 18
67.83°, d 1.382, I 34
69.92°, d 1.345, I 15